CeMnP2Rh: calculated XRD peak list (Cu Kα, 1.54184 Å), based on a PBE-relaxed structure.
Peak positions follow from Bragg's law for the DFT cell and can differ from measured ones.

Peak list (6 most intense, 10 to 90 degrees two-theta, most intense first)
- 36.83°, d 2.441, I 100
- 35.63°, d 2.520, I 38
- 45.50°, d 1.994, I 34
- 24.11°, d 3.691, I 33
- 66.35°, d 1.409, I 26
- 78.33°, d 1.221, I 24

Atomic structure:
abc: 3.9874 3.9874 9.7527
angles: 90.00 90.00 90.00
Sites, in units of the cell vectors:
Ce1 0.0000 0.0000 0.0000
Ce2 0.5000 0.5000 0.5000
Mn1 0.0000 0.5000 0.2500
Mn2 0.5000 0.0000 0.7500
P1 0.0000 0.0000 0.3730
P2 0.0000 0.0000 0.6270
P3 0.5000 0.5000 0.1270
P4 0.5000 0.5000 0.8730
Rh1 0.0000 0.5000 0.7500
Rh2 0.5000 0.0000 0.2500


K2CaCuCl5: calculated XRD peak list (Cu Kα, 1.54184 Å), based on a PBE-relaxed structure.
Peak positions follow from Bragg's law for the DFT cell and can differ from measured ones.

Peak list (6 most intense, 10 to 90 degrees two-theta, most intense first)
- 30.34°, d 2.946, I 100
- 29.81°, d 2.997, I 71
- 35.50°, d 2.529, I 37
- 44.33°, d 2.043, I 30
- 49.65°, d 1.836, I 27
- 13.52°, d 6.551, I 26

Atomic structure:
abc: 9.4587 9.4587 13.1019
angles: 90.00 90.00 155.05
Sites, in units of the cell vectors:
K1 0.1115 0.8885 0.5000
K2 0.1229 0.8771 0.1412
K3 0.8771 0.1229 0.6412
K4 0.8885 0.1115 0.0000
Ca1 0.2015 0.7985 0.8337
Ca2 0.7985 0.2015 0.3337
Cu1 0.4489 0.5511 0.2517
Cu2 0.5511 0.4489 0.7517
Cl1 0.0515 0.9485 0.8373
Cl2 0.2952 0.7048 0.4760
Cl3 0.3076 0.6924 0.1906
Cl4 0.3474 0.6526 0.8236
Cl5 0.4988 0.5012 0.0939
Cl6 0.5012 0.4988 0.5939
Cl7 0.6526 0.3474 0.3236
Cl8 0.6924 0.3076 0.6906
Cl9 0.7048 0.2952 0.9760
Cl10 0.9485 0.0515 0.3373


Na5Hg4Au2: calculated XRD peak list (Cu Kα, 1.54184 Å), based on a PBE-relaxed structure.
Peak positions follow from Bragg's law for the DFT cell and can differ from measured ones.

Peak list (6 most intense, 10 to 90 degrees two-theta, most intense first)
- 23.75°, d 3.746, I 100
- 32.91°, d 2.722, I 66
- 34.28°, d 2.616, I 57
- 22.44°, d 3.962, I 51
- 35.15°, d 2.553, I 41
- 24.35°, d 3.655, I 41

Atomic structure:
abc: 7.9784 18.2592 3.7457
angles: 90.00 90.00 90.00
Sites, in units of the cell vectors:
Na1 0.0000 0.0000 0.0000
Na2 0.1259 0.4237 0.0000
Na3 0.2382 0.2149 0.0000
Na4 0.2618 0.7149 0.0000
Na5 0.3741 0.9237 0.0000
Na6 0.5000 0.5000 0.0000
Na7 0.6259 0.0763 0.0000
Na8 0.7382 0.2851 0.0000
Na9 0.7618 0.7851 0.0000
Na10 0.8741 0.5763 0.0000
Hg1 0.0830 0.8497 0.5000
Hg2 0.2102 0.5687 0.5000
Hg3 0.2898 0.0687 0.5000
Hg4 0.4170 0.3497 0.5000
Hg5 0.5830 0.6503 0.5000
Hg6 0.7102 0.9313 0.5000
Hg7 0.7898 0.4313 0.5000
Hg8 0.9170 0.1503 0.5000
Au1 0.0317 0.3057 0.5000
Au2 0.4683 0.8057 0.5000
Au3 0.5317 0.1943 0.5000
Au4 0.9683 0.6943 0.5000


TlCuSnF6: calculated XRD peak list (Cu Kα, 1.54184 Å), based on a PBE-relaxed structure.
Peak positions follow from Bragg's law for the DFT cell and can differ from measured ones.

Peak list (6 most intense, 10 to 90 degrees two-theta, most intense first)
- 23.38°, d 3.804, I 100
- 44.03°, d 2.056, I 39
- 30.95°, d 2.889, I 31
- 50.72°, d 1.800, I 25
- 39.15°, d 2.301, I 23
- 55.05°, d 1.668, I 12

Atomic structure:
abc: 5.7787 5.7787 11.7100
angles: 90.00 90.00 120.00
Sites, in units of the cell vectors:
Tl1 0.0000 0.0000 0.0000
Tl2 0.0000 0.0000 0.5000
Cu1 0.3333 0.6667 0.2500
Cu2 0.6667 0.3333 0.7500
Sn1 0.3333 0.6667 0.7500
Sn2 0.6667 0.3333 0.2500
F1 0.0313 0.3912 0.6532
F2 0.0313 0.6401 0.8468
F3 0.3599 0.3912 0.8468
F4 0.3599 0.9687 0.6532
F5 0.3912 0.0313 0.1532
F6 0.3912 0.3599 0.3468
F7 0.6088 0.6401 0.6532
F8 0.6088 0.9687 0.8468
F9 0.6401 0.0313 0.3468
F10 0.6401 0.6088 0.1532
F11 0.9687 0.3599 0.1532
F12 0.9687 0.6088 0.3468


Ho3TlSe6: calculated XRD peak list (Cu Kα, 1.54184 Å), based on a PBE-relaxed structure.
Peak positions follow from Bragg's law for the DFT cell and can differ from measured ones.

Peak list (6 most intense, 10 to 90 degrees two-theta, most intense first)
- 24.08°, d 3.696, I 100
- 24.32°, d 3.659, I 65
- 40.25°, d 2.240, I 64
- 35.97°, d 2.497, I 57
- 33.36°, d 2.686, I 43
- 32.99°, d 2.715, I 38

Atomic structure:
abc: 8.9654 8.9654 6.9238
angles: 90.00 90.00 102.79
Sites, in units of the cell vectors:
Ho1 0.0916 0.9084 0.5000
Ho2 0.2173 0.4110 0.4010
Ho3 0.4110 0.2173 0.9010
Ho4 0.5890 0.7827 0.4010
Ho5 0.7827 0.5890 0.9010
Ho6 0.9084 0.0916 0.0000
Tl1 0.2964 0.7036 0.8838
Tl2 0.7036 0.2964 0.3838
Se1 0.0479 0.5984 0.6592
Se2 0.1279 0.1989 0.7037
Se3 0.1989 0.1279 0.2037
Se4 0.2774 0.7226 0.2641
Se5 0.4016 0.9521 0.6592
Se6 0.4707 0.5293 0.6972
Se7 0.5293 0.4707 0.1972
Se8 0.5984 0.0479 0.1592
Se9 0.7226 0.2774 0.7641
Se10 0.8011 0.8721 0.7037
Se11 0.8721 0.8011 0.2037
Se12 0.9521 0.4016 0.1592


Rb2LaNbCl6: calculated XRD peak list (Cu Kα, 1.54184 Å), based on a PBE-relaxed structure.
Peak positions follow from Bragg's law for the DFT cell and can differ from measured ones.

Peak list (6 most intense, 10 to 90 degrees two-theta, most intense first)
- 23.50°, d 3.785, I 100
- 33.48°, d 2.677, I 69
- 48.07°, d 1.893, I 47
- 41.31°, d 2.185, I 45
- 65.21°, d 1.431, I 24
- 54.18°, d 1.693, I 22

Atomic structure:
abc: 7.5708 7.5708 7.5708
angles: 60.00 60.00 60.00
Sites, in units of the cell vectors:
Rb1 0.2500 0.2500 0.2500
Rb2 0.7500 0.7500 0.7500
La1 0.0000 0.0000 0.0000
Nb1 0.5000 0.5000 0.5000
Cl1 0.2611 0.2611 0.7389
Cl2 0.2611 0.7389 0.2611
Cl3 0.2611 0.7389 0.7389
Cl4 0.7389 0.2611 0.2611
Cl5 0.7389 0.2611 0.7389
Cl6 0.7389 0.7389 0.2611